Simulated X-ray powder pattern
Compound: NiRuRhW
Radiation: Cu Kα (λ = 1.5418 Å)
Structure: a DFT-relaxed cell (GGA-PBE, Alexandria)

Largest 8 diffraction maxima, low angle first, 10 to 90 degrees two-theta:
2theta, I (rel.)
25.4, 16
29.4, 1
42.1, 100
49.8, 8
61.1, 16
67.2, 4
77.0, 33
82.6, 3

Crystal structure
Cell: 4.292 4.292 4.292 Å, 60.00 60.00 60.00°
Fractional coordinates of all 4 atoms:
Ni 0.000 0.000 0.000
Ru 0.250 0.250 0.250
Rh 0.750 0.750 0.750
W 0.500 0.500 0.500



Simulated X-ray powder pattern
Compound: NiSb6Rh
Radiation: Cu Kα (λ = 1.5418 Å)
Structure: a DFT-relaxed cell (GGA-PBE, Alexandria)

Largest 10 diffraction maxima, low angle first, 10 to 90 degrees two-theta:
2theta, I (rel.)
13.4, 10
30.3, 100
36.1, 35
43.4, 32
45.7, 11
47.8, 22
49.9, 21
57.7, 16
68.2, 13
89.1, 10

Crystal structure
Cell: 8.066 8.066 9.313 Å, 125.18 125.18 70.67°
Fractional coordinates of all 16 atoms:
Ni 0.000 0.500 0.000
Ni 0.500 0.000 0.000
Sb 0.004 0.318 0.158
Sb 0.158 0.835 0.339
Sb 0.165 0.842 0.661
Sb 0.318 0.004 0.158
Sb 0.340 0.340 0.003
Sb 0.347 0.347 0.688
Sb 0.653 0.653 0.312
Sb 0.660 0.660 0.997
Sb 0.682 0.996 0.842
Sb 0.835 0.158 0.339
Sb 0.842 0.165 0.661
Sb 0.996 0.682 0.842
Rh 0.000 0.500 0.500
Rh 0.500 0.000 0.500



Simulated X-ray powder pattern
Compound: Sc4NiRh3
Radiation: Cu Kα (λ = 1.5418 Å)
Structure: a DFT-relaxed cell (GGA-PBE, Alexandria)

Largest 10 diffraction maxima, low angle first, 10 to 90 degrees two-theta:
2theta, I (rel.)
27.0, 9
28.1, 16
39.3, 100
40.1, 47
49.0, 7
55.6, 9
58.1, 15
70.7, 16
72.4, 30
84.6, 10

Crystal structure
Cell: 3.178 3.178 13.226 Å, 90.00 90.00 90.00°
Fractional coordinates of all 8 atoms:
Sc 0.000 0.000 0.122
Sc 0.000 0.000 0.374
Sc 0.000 0.000 0.626
Sc 0.000 0.000 0.878
Ni 0.500 0.500 0.000
Rh 0.500 0.500 0.247
Rh 0.500 0.500 0.500
Rh 0.500 0.500 0.753



Simulated X-ray powder pattern
Compound: ScNiRh
Radiation: Cu Kα (λ = 1.5418 Å)
Structure: a DFT-relaxed cell (GGA-PBE, Alexandria)

Largest 10 diffraction maxima, low angle first, 10 to 90 degrees two-theta:
2theta, I (rel.)
22.2, 70
40.9, 100
41.7, 24
42.4, 43
42.6, 66
42.9, 41
45.2, 59
51.1, 22
69.4, 20
75.4, 36

Crystal structure
Cell: 5.054 5.054 5.054 Å, 122.56 117.05 90.41°
Fractional coordinates of all 6 atoms:
Sc 0.370 0.120 0.250
Sc 0.630 0.880 0.750
Ni 0.000 0.000 0.500
Ni 0.000 0.500 0.000
Rh 0.000 0.500 0.500
Rh 0.500 0.500 0.000



Simulated X-ray powder pattern
Compound: Ni2RhSe4
Radiation: Cu Kα (λ = 1.5418 Å)
Structure: a DFT-relaxed cell (GGA-PBE, Alexandria)

Largest 10 diffraction maxima, low angle first, 10 to 90 degrees two-theta:
2theta, I (rel.)
15.1, 21
24.8, 12
29.2, 52
30.6, 20
35.4, 86
46.6, 31
51.0, 100
63.6, 19
74.9, 10
85.7, 16

Crystal structure
Cell: 7.172 7.172 10.124 Å, 90.00 90.00 90.00°
Fractional coordinates of all 28 atoms:
Ni 0.000 0.246 0.000
Ni 0.000 0.754 0.500
Ni 0.246 0.000 0.750
Ni 0.249 0.249 0.375
Ni 0.249 0.751 0.125
Ni 0.751 0.249 0.625
Ni 0.751 0.751 0.875
Ni 0.754 0.000 0.250
Rh 0.245 0.500 0.750
Rh 0.500 0.245 0.000
Rh 0.500 0.755 0.500
Rh 0.755 0.500 0.250
Se 0.012 0.244 0.761
Se 0.012 0.756 0.739
Se 0.244 0.012 0.989
Se 0.244 0.482 0.997
Se 0.244 0.518 0.503
Se 0.244 0.988 0.511
Se 0.482 0.244 0.753
Se 0.482 0.756 0.747
Se 0.518 0.244 0.247
Se 0.518 0.756 0.253
Se 0.756 0.012 0.011
Se 0.756 0.482 0.003
Se 0.756 0.518 0.497
Se 0.756 0.988 0.489
Se 0.988 0.244 0.239
Se 0.988 0.756 0.261



Simulated X-ray powder pattern
Compound: Ni3RhSe6
Radiation: Cu Kα (λ = 1.5418 Å)
Structure: a DFT-relaxed cell (GGA-PBE, Alexandria)

Largest 10 diffraction maxima, low angle first, 10 to 90 degrees two-theta:
2theta, I (rel.)
19.8, 26
27.6, 18
33.2, 100
40.2, 19
44.5, 62
50.1, 15
50.7, 48
59.6, 18
62.0, 16
69.7, 14

Crystal structure
Cell: 6.464 6.464 6.464 Å, 57.69 57.69 57.69°
Fractional coordinates of all 10 atoms:
Ni 0.000 0.000 0.000
Ni 0.198 0.198 0.198
Ni 0.697 0.697 0.697
Rh 0.500 0.500 0.500
Se 0.089 0.404 0.803
Se 0.295 0.914 0.596
Se 0.404 0.803 0.089
Se 0.596 0.295 0.914
Se 0.803 0.089 0.404
Se 0.914 0.596 0.295